[1]
Structure and theoretical powder XRD pattern of Tl2SbPb (a crystal structure in Alexandria, relaxed with PBE; CuKα).
Peak positions follow from Bragg's law for the DFT cell and can differ from measured ones.

```
Tl2SbPb
1.0
3.365 0.000 0.000
0.000 5.505 0.000
-0.749 0.000 6.640
Tl Sb Pb
2 1 1
Cartesian
-0.048 0.000 1.692 Tl
2.664 0.000 4.948 Tl
1.308 2.752 3.320 Sb
1.682 2.752 0.000 Pb
```

Most intense lines, 2θ from 15° to 90°, sorted by position:
Position (°2θ)	I/Imax
31.3	100
31.5	98
32.5	45
35.9	34
40.4	24
49.2	28

[2]
Structure and theoretical powder XRD pattern of Fe6Co5 (a crystal structure in Alexandria, relaxed with PBE; CuKα).
Peak positions follow from Bragg's law for the DFT cell and can differ from measured ones.

```
Fe6Co5
1.0
-1.992 2.808 5.925
1.992 -2.808 5.925
1.992 2.808 -5.925
Fe Co
6 5
Cartesian
1.992 1.349 -1.891 Fe
0.000 1.309 0.000 Fe
1.992 1.349 1.891 Fe
0.000 1.459 4.034 Fe
0.000 4.307 0.000 Fe
0.000 1.459 7.816 Fe
0.000 0.000 2.065 Co
1.992 0.000 3.970 Co
0.000 0.000 5.925 Co
0.000 2.808 1.954 Co
0.000 0.000 9.784 Co
```

Most intense lines, 2θ from 15° to 90°, sorted by position:
Position (°2θ)	I/Imax
45.5	26
45.7	100
46.0	24
66.7	21
84.4	21
84.9	13

[3]
Structure and theoretical powder XRD pattern of Cd9Ag2Au (a crystal structure in Alexandria, relaxed with PBE; CuKα).
Peak positions follow from Bragg's law for the DFT cell and can differ from measured ones.

```
Cd9Ag2Au
1.0
5.436 0.000 0.000
0.913 6.617 0.000
0.896 0.686 6.971
Cd Ag Au
9 2 1
Cartesian
0.000 0.000 0.000 Cd
1.024 2.716 4.655 Cd
2.673 6.389 4.063 Cd
1.934 1.886 1.685 Cd
3.540 5.512 1.172 Cd
3.705 1.791 5.799 Cd
5.311 5.416 5.286 Cd
4.572 0.913 2.909 Cd
6.221 4.587 2.316 Cd
2.649 4.514 6.410 Ag
4.596 2.788 0.561 Ag
3.622 3.651 3.486 Au
```

Most intense lines, 2θ from 15° to 90°, sorted by position:
Position (°2θ)	I/Imax
35.1	99
35.2	100
35.6	98
36.4	93
40.5	69
40.9	67

[4]
Structure and theoretical powder XRD pattern of Pm5Sm8In (a crystal structure in Alexandria, relaxed with PBE; CuKα).
Peak positions follow from Bragg's law for the DFT cell and can differ from measured ones.

```
Pm5Sm8In
1.0
7.760 -4.255 0.000
7.760 4.255 0.000
-4.605 0.000 7.279
Pm Sm In
5 8 1
Cartesian
0.000 0.000 0.000 Pm
6.020 1.465 0.330 Pm
4.896 1.465 6.949 Pm
3.650 -1.365 5.303 Pm
7.265 -1.365 1.976 Pm
2.247 2.088 4.210 Sm
-1.191 0.414 4.953 Sm
3.757 -0.397 2.088 Sm
8.669 2.088 3.070 Sm
0.534 -1.940 6.763 Sm
7.158 -0.397 5.191 Sm
12.107 0.414 2.326 Sm
10.381 -1.940 0.516 Sm
5.458 1.844 3.640 In
```

Most intense lines, 2θ from 15° to 90°, sorted by position:
Position (°2θ)	I/Imax
29.5	31
30.6	49
30.9	32
31.3	100
32.1	41
32.3	49

[5]
Structure and theoretical powder XRD pattern of Rb3Cd6Pb5 (a crystal structure in Alexandria, relaxed with PBE; CuKα).
Peak positions follow from Bragg's law for the DFT cell and can differ from measured ones.

```
Rb3Cd6Pb5
1.0
5.209 0.000 0.000
0.000 15.199 0.000
0.000 0.000 11.454
Rb Cd Pb
6 12 10
Cartesian
1.302 0.837 2.809 Rb
1.302 6.762 2.809 Rb
1.302 11.399 2.853 Rb
3.907 3.800 8.600 Rb
3.907 8.437 8.645 Rb
3.907 14.362 8.645 Rb
1.302 1.319 7.055 Cd
1.302 3.800 0.520 Cd
1.302 3.800 5.211 Cd
1.302 6.280 7.055 Cd
1.302 9.321 11.203 Cd
1.302 13.477 11.203 Cd
3.907 1.722 0.251 Cd
3.907 5.877 0.251 Cd
3.907 8.919 4.399 Cd
3.907 11.399 6.243 Cd
3.907 11.399 10.933 Cd
3.907 13.880 4.399 Cd
1.302 1.252 10.165 Pb
1.302 6.347 10.165 Pb
1.302 9.282 6.073 Pb
1.302 11.399 8.680 Pb
1.302 13.516 6.073 Pb
3.907 1.683 5.381 Pb
3.907 3.800 2.774 Pb
3.907 5.917 5.381 Pb
3.907 8.852 1.289 Pb
3.907 13.947 1.289 Pb
```

Most intense lines, 2θ from 15° to 90°, sorted by position:
Position (°2θ)	I/Imax
29.1	100
31.3	40
34.4	56
35.4	32
36.3	29
37.6	46

[6]
Structure and theoretical powder XRD pattern of Cs2Tl7Hg (a crystal structure in Alexandria, relaxed with PBE; CuKα).
Peak positions follow from Bragg's law for the DFT cell and can differ from measured ones.

```
Cs2Tl7Hg
1.0
5.465 0.000 0.000
0.000 5.465 0.000
0.000 0.000 12.802
Cs Tl Hg
2 7 1
Cartesian
0.000 2.732 3.173 Cs
2.732 0.000 9.629 Cs
0.000 0.000 0.000 Tl
0.000 0.000 6.401 Tl
0.000 2.732 8.067 Tl
0.000 2.732 11.222 Tl
2.732 0.000 1.580 Tl
2.732 0.000 4.736 Tl
2.732 2.732 6.401 Tl
2.732 2.732 0.000 Hg
```

Most intense lines, 2θ from 15° to 90°, sorted by position:
Position (°2θ)	I/Imax
26.5	58
27.0	100
32.8	90
36.5	70
42.6	33
47.0	33

Repeat the sixth record exactly.
Structure and theoretical powder XRD pattern of Cs2Tl7Hg (a crystal structure in Alexandria, relaxed with PBE; CuKα).
Peak positions follow from Bragg's law for the DFT cell and can differ from measured ones.

```
Cs2Tl7Hg
1.0
5.465 0.000 0.000
0.000 5.465 0.000
0.000 0.000 12.802
Cs Tl Hg
2 7 1
Cartesian
0.000 2.732 3.173 Cs
2.732 0.000 9.629 Cs
0.000 0.000 0.000 Tl
0.000 0.000 6.401 Tl
0.000 2.732 8.067 Tl
0.000 2.732 11.222 Tl
2.732 0.000 1.580 Tl
2.732 0.000 4.736 Tl
2.732 2.732 6.401 Tl
2.732 2.732 0.000 Hg
```

Most intense lines, 2θ from 15° to 90°, sorted by position:
Position (°2θ)	I/Imax
26.5	58
27.0	100
32.8	90
36.5	70
42.6	33
47.0	33

What did the third record say?
Structure and theoretical powder XRD pattern of Cd9Ag2Au (a crystal structure in Alexandria, relaxed with PBE; CuKα).
Peak positions follow from Bragg's law for the DFT cell and can differ from measured ones.

```
Cd9Ag2Au
1.0
5.436 0.000 0.000
0.913 6.617 0.000
0.896 0.686 6.971
Cd Ag Au
9 2 1
Cartesian
0.000 0.000 0.000 Cd
1.024 2.716 4.655 Cd
2.673 6.389 4.063 Cd
1.934 1.886 1.685 Cd
3.540 5.512 1.172 Cd
3.705 1.791 5.799 Cd
5.311 5.416 5.286 Cd
4.572 0.913 2.909 Cd
6.221 4.587 2.316 Cd
2.649 4.514 6.410 Ag
4.596 2.788 0.561 Ag
3.622 3.651 3.486 Au
```

Most intense lines, 2θ from 15° to 90°, sorted by position:
Position (°2θ)	I/Imax
35.1	99
35.2	100
35.6	98
36.4	93
40.5	69
40.9	67

What did the second record say?
Structure and theoretical powder XRD pattern of Fe6Co5 (a crystal structure in Alexandria, relaxed with PBE; CuKα).
Peak positions follow from Bragg's law for the DFT cell and can differ from measured ones.

```
Fe6Co5
1.0
-1.992 2.808 5.925
1.992 -2.808 5.925
1.992 2.808 -5.925
Fe Co
6 5
Cartesian
1.992 1.349 -1.891 Fe
0.000 1.309 0.000 Fe
1.992 1.349 1.891 Fe
0.000 1.459 4.034 Fe
0.000 4.307 0.000 Fe
0.000 1.459 7.816 Fe
0.000 0.000 2.065 Co
1.992 0.000 3.970 Co
0.000 0.000 5.925 Co
0.000 2.808 1.954 Co
0.000 0.000 9.784 Co
```

Most intense lines, 2θ from 15° to 90°, sorted by position:
Position (°2θ)	I/Imax
45.5	26
45.7	100
46.0	24
66.7	21
84.4	21
84.9	13